Record 1
Structure and simulated powder diffractogram of Nb3W7 (the PBE geometry in Alexandria; Cu Ka).

Top 8 peaks for 2θ from 10° to 90°, in order of falling intensity:
two_theta  intensity
41.57  100
35.67  86
39.59  73
41.37  48
74.35  30
60.09  27
31.31  26
35.85  25

Crystal structure
abc: 8.729 8.729 5.310
angles: 90.00 90.00 120.00
Positions (direct):
Nb (0.208, 0.417, 0.250)
Nb (0.208, 0.792, 0.250)
Nb (0.417, 0.208, 0.750)
Nb (0.583, 0.792, 0.250)
Nb (0.792, 0.208, 0.750)
Nb (0.792, 0.583, 0.750)
W (0.000, 0.500, 0.000)
W (0.000, 0.500, 0.500)
W (0.114, 0.228, 0.750)
W (0.114, 0.886, 0.750)
W (0.228, 0.114, 0.250)
W (0.333, 0.667, 0.750)
W (0.500, 0.000, 0.000)
W (0.500, 0.000, 0.500)
W (0.500, 0.500, 0.000)
W (0.500, 0.500, 0.500)
W (0.667, 0.333, 0.250)
W (0.772, 0.886, 0.750)
W (0.886, 0.114, 0.250)
W (0.886, 0.772, 0.250)

---

Record 2
Structure and simulated powder diffractogram of Y3NbZn (the PBE geometry in Alexandria; Cu Ka).

Top 8 peaks for 2θ from 10° to 90°, in order of falling intensity:
two_theta  intensity
33.56  100
28.96  90
48.20  70
57.21  38
80.42  30
60.01  24
23.56  15
77.99  15

Crystal structure
abc: 5.341 5.341 5.341
angles: 90.00 90.00 90.00
Positions (direct):
Y (0.000, 0.000, 0.500)
Y (0.000, 0.500, 0.000)
Y (0.500, 0.000, 0.000)
Nb (0.500, 0.500, 0.500)
Zn (0.000, 0.000, 0.000)

---

- What is the formula in the second record?
  Y3NbZn